No. 1
Starting from a structure optimized by DFT (GGA-PBE), the powder diffractogram of Tb2Co7 was calculated for copper Kα.

Top 12 peaks for 10 to 90 degrees two-theta, most intense first:
2.106 Å, 42.94°, I 100; 2.478 Å, 36.25°, I 50; 2.757 Å, 32.48°, I 44; 2.142 Å, 42.19°, I 35; 2.601 Å, 34.48°, I 33; 1.347 Å, 69.83°, I 22; 1.239 Å, 76.96°, I 20; 1.999 Å, 45.38°, I 15; 1.479 Å, 62.84°, I 13; 1.378 Å, 68.01°, I 11; 1.453 Å, 64.08°, I 11; 1.409 Å, 66.34°, I 10

Structure:
```
Tb2Co7
1.0
2.4779 1.4306 11.9912
-2.4779 1.4306 11.9912
0.0000 -2.8613 11.9912
Tb Co
4 14
direct
0.0515 0.0515 0.0515 Tb
0.1480 0.1480 0.1480 Tb
0.8520 0.8520 0.8520 Tb
0.9485 0.9485 0.9485 Tb
0.0000 0.5000 0.5000 Co
0.1083 0.6093 0.6093 Co
0.2786 0.2786 0.2786 Co
0.3882 0.3882 0.3882 Co
0.3907 0.3907 0.8917 Co
0.3907 0.8917 0.3907 Co
0.5000 0.0000 0.5000 Co
0.5000 0.5000 0.0000 Co
0.5000 0.5000 0.5000 Co
0.6093 0.1083 0.6093 Co
0.6093 0.6093 0.1083 Co
0.6118 0.6118 0.6118 Co
0.7214 0.7214 0.7214 Co
0.8917 0.3907 0.3907 Co
```

No. 2
Starting from a structure optimized by DFT (GGA-PBE), the powder diffractogram of RbIrAu3Se4 was calculated for copper Kα.

Top 12 peaks for 10 to 90 degrees two-theta, most intense first:
2.283 Å, 39.46°, I 100; 6.459 Å, 13.71°, I 70; 3.729 Å, 23.86°, I 63; 3.229 Å, 27.62°, I 34; 1.947 Å, 46.64°, I 30; 1.318 Å, 71.57°, I 29; 1.444 Å, 64.53°, I 19; 2.153 Å, 41.97°, I 18; 1.791 Å, 50.98°, I 18; 2.888 Å, 30.96°, I 17; 1.615 Å, 57.04°, I 15; 1.864 Å, 48.85°, I 12

Structure:
```
RbIrAu3Se4
1.0
6.4586 0.0000 0.0000
0.0000 6.4586 0.0000
0.0000 0.0000 6.4586
Rb Ir Au Se
1 1 3 4
direct
0.0000 0.0000 0.0000 Rb
0.5000 0.5000 0.5000 Ir
0.0000 0.5000 0.5000 Au
0.5000 0.0000 0.5000 Au
0.5000 0.5000 0.0000 Au
0.2865 0.2865 0.2865 Se
0.2865 0.7135 0.7135 Se
0.7135 0.2865 0.7135 Se
0.7135 0.7135 0.2865 Se
```

No. 3
Starting from a structure optimized by DFT (GGA-PBE), the powder diffractogram of BaTbO3 was calculated for copper Kα.

Top 12 peaks for 10 to 90 degrees two-theta, most intense first:
3.070 Å, 29.09°, I 100; 3.270 Å, 27.28°, I 82; 3.392 Å, 26.27°, I 42; 2.277 Å, 39.57°, I 28; 1.810 Å, 50.42°, I 17; 2.199 Å, 41.04°, I 16; 1.773 Å, 51.56°, I 15; 1.981 Å, 45.79°, I 15; 1.788 Å, 51.07°, I 12; 1.635 Å, 56.27°, I 12; 8.797 Å, 10.05°, I 10; 1.931 Å, 47.07°, I 9

Structure:
```
BaTbO3
1.0
6.8144 0.0000 0.0000
0.0000 6.1460 0.0000
-0.8361 0.0000 8.7974
Ba Tb O
4 4 12
direct
0.1985 0.0000 0.3477 Ba
0.2320 0.5036 0.6531 Ba
0.7680 0.5036 0.3469 Ba
0.8015 0.0000 0.6523 Ba
0.2098 0.5372 0.1240 Tb
0.3003 0.9688 0.8895 Tb
0.6997 0.9688 0.1105 Tb
0.7902 0.5372 0.8760 Tb
0.1130 0.6791 0.8908 O
0.1504 0.5583 0.3664 O
0.1738 0.0765 0.6682 O
0.2762 0.2025 0.0770 O
0.4423 0.7759 0.1609 O
0.4607 0.2990 0.4274 O
0.5393 0.2990 0.5726 O
0.5577 0.7759 0.8391 O
0.7238 0.2025 0.9230 O
0.8262 0.0765 0.3318 O
0.8496 0.5583 0.6336 O
0.8870 0.6791 0.1092 O
```

No. 4
Starting from a structure optimized by DFT (GGA-PBE), the powder diffractogram of Mg4InSiPt2 was calculated for copper Kα.

Top 12 peaks for 10 to 90 degrees two-theta, most intense first:
3.541 Å, 25.15°, I 100; 4.272 Å, 20.79°, I 65; 2.246 Å, 40.15°, I 65; 2.298 Å, 39.20°, I 65; 1.988 Å, 45.63°, I 51; 1.548 Å, 59.75°, I 24; 1.606 Å, 57.36°, I 21; 1.307 Å, 72.32°, I 21; 1.897 Å, 47.97°, I 18; 1.203 Å, 79.74°, I 17; 1.449 Å, 64.28°, I 15; 1.241 Å, 76.82°, I 11

Structure:
```
Mg4InSiPt2
1.0
8.5438 0.0000 0.0000
0.0000 4.4888 0.0000
0.0000 0.0000 7.7863
Mg In Si Pt
8 2 2 4
direct
0.1692 0.0000 0.0000 Mg
0.1692 0.5000 0.5000 Mg
0.3289 0.0000 0.6673 Mg
0.3289 0.5000 0.1673 Mg
0.6711 0.0000 0.6673 Mg
0.6711 0.5000 0.1673 Mg
0.8308 0.0000 0.0000 Mg
0.8308 0.5000 0.5000 Mg
0.5000 0.0000 0.3343 In
0.5000 0.5000 0.8343 In
0.0000 0.0000 0.3328 Si
0.0000 0.5000 0.8328 Si
0.0000 0.0000 0.6661 Pt
0.0000 0.5000 0.1661 Pt
0.5000 0.0000 0.0011 Pt
0.5000 0.5000 0.5011 Pt
```

No. 5
Starting from a structure optimized by DFT (GGA-PBE), the powder diffractogram of CsSmCuS3 was calculated for copper Kα.

Top 12 peaks for 10 to 90 degrees two-theta, most intense first:
3.053 Å, 29.25°, I 100; 7.844 Å, 11.28°, I 67; 2.983 Å, 29.95°, I 58; 3.922 Å, 22.67°, I 54; 2.024 Å, 44.77°, I 34; 3.702 Å, 24.04°, I 32; 2.615 Å, 34.29°, I 30; 2.533 Å, 35.43°, I 26; 3.251 Å, 27.43°, I 23; 4.571 Å, 19.42°, I 22; 4.411 Å, 20.13°, I 21; 1.904 Å, 47.77°, I 20

Structure:
```
CsSmCuS3
1.0
9.3999 0.0000 0.0000
0.0000 4.0493 0.0000
-3.3635 0.0000 9.1425
Cs Sm Cu S
2 2 2 6
direct
0.2089 0.2500 0.2443 Cs
0.7911 0.7500 0.7557 Cs
0.3291 0.7500 0.8579 Sm
0.6709 0.2500 0.1421 Sm
0.0822 0.2500 0.6101 Cu
0.9178 0.7500 0.3899 Cu
0.1237 0.2500 0.8557 S
0.1667 0.7500 0.5458 S
0.4725 0.7500 0.1579 S
0.5275 0.2500 0.8421 S
0.8333 0.2500 0.4542 S
0.8763 0.7500 0.1443 S
```

No. 6
Starting from a structure optimized by DFT (GGA-PBE), the powder diffractogram of FeAgGeS3 was calculated for copper Kα.

Top 12 peaks for 10 to 90 degrees two-theta, most intense first:
2.765 Å, 32.38°, I 100; 3.860 Å, 23.04°, I 81; 1.985 Å, 45.70°, I 50; 1.754 Å, 52.14°, I 47; 2.270 Å, 39.71°, I 41; 2.361 Å, 38.11°, I 27; 4.539 Å, 19.56°, I 20; 1.676 Å, 54.77°, I 16; 3.401 Å, 26.20°, I 15; 1.348 Å, 69.75°, I 14; 2.649 Å, 33.84°, I 13; 2.145 Å, 42.12°, I 12

Structure:
```
FeAgGeS3
1.0
1.6759 -7.3356 0.0000
1.6759 7.3356 0.0000
0.0000 0.0000 9.0785
Fe Ag Ge S
2 2 2 6
direct
0.0000 0.0000 0.0000 Fe
0.0000 0.0000 0.5000 Fe
0.3014 0.6986 0.7500 Ag
0.6986 0.3014 0.2500 Ag
0.3461 0.6539 0.2500 Ge
0.6539 0.3461 0.7500 Ge
0.0375 0.9625 0.7500 S
0.3940 0.6060 0.5203 S
0.3940 0.6060 0.9797 S
0.6060 0.3940 0.0203 S
0.6060 0.3940 0.4797 S
0.9625 0.0375 0.2500 S
```